Starting from a crystal structure in Alexandria, relaxed with GGA-PBE, the XRD peak list of TcRu3 was computed for CuKα.
Intensities are scaled so that the largest is 100.

Atomic structure:
```
data_TcRu3
_symmetry_space_group_name_H-M 'P m m n'
_symmetry_Int_Tables_number 59
_cell_length_a 4.3297
_cell_length_b 5.4752
_cell_length_c 4.7325
_cell_angle_alpha 90.00
_cell_angle_beta 90.00
_cell_angle_gamma 90.00
loop_
_symmetry_equiv_pos_as_xyz
'x,y,z'
'-x,-y,-z'
'-x+1/2,-y+1/2,z'
'x+1/2,y+1/2,-z'
'x+1/2,-y,-z'
'-x+1/2,y,z'
'-x,y+1/2,-z'
'x,-y+1/2,z'
loop_
_atom_site_label
_atom_site_type_symbol
_atom_site_fract_x
_atom_site_fract_y
_atom_site_fract_z
Tc1 Tc 0.2500 0.2500 0.1653
Ru1 Ru 0.2500 0.0002 0.6679
Ru2 Ru 0.2500 0.7500 0.1655
```

Most intense lines, 2θ from 10° to 80°, by angle:
- hkl 0 2 1, d 2.369, 37.99°, I 25
- hkl 2 0 0, d 2.165, 41.72°, I 25
- hkl 1 2 1, d 2.078, 43.55°, I 100
- hkl 2 2 1, d 1.598, 57.69°, I 14
- hkl 0 2 3, d 1.367, 68.67°, I 11
- hkl 3 2 1, d 1.232, 77.44°, I 18